1.
Structure and computed powder diffractogram of LiO (the GGA-PBE geometry in the Materials Project; a wavelength of 1.5418 Å).
No peak broadening, texture or thermal motion is included.

Principal peaks in the range 10 to 90 degrees two-theta, low angle first:
| Position (°2θ) | I_rel |
| --- | --- |
| 33.54 | 79.8 |
| 42.40 | 16.6 |
| 48.17 | 82.2 |
| 55.11 | 100.0 |
| 66.08 | 8.9 |
| 70.50 | 19.4 |
| 80.37 | 3.9 |
| 85.85 | 3.2 |

Structure:
```
LiO
1.0
2.672 0.000 0.000
0.000 2.672 0.000
0.000 0.000 2.132
Li O
1 1
Cartesian
0.000 0.000 0.000
1.336 1.336 1.066
```


2.
Structure and computed powder diffractogram of CdSeO3 (the GGA-PBE geometry in the Materials Project; a wavelength of 1.5418 Å).
No peak broadening, texture or thermal motion is included.

Principal peaks in the range 10 to 90 degrees two-theta, low angle first:
| Position (°2θ) | I_rel |
| --- | --- |
| 27.77 | 28.8 |
| 30.53 | 100.0 |
| 33.32 | 18.2 |
| 43.53 | 10.1 |
| 43.91 | 18.0 |
| 50.88 | 24.7 |
| 52.42 | 13.0 |
| 57.82 | 18.9 |
| 63.55 | 11.9 |
| 71.86 | 9.2 |

Structure:
```
CdSeO3
1.0
6.424 0.000 0.000
0.000 8.316 0.000
0.000 0.000 5.378
Cd Se O
4 4 12
Cartesian
0.000 0.000 0.000
0.000 4.158 0.000
3.212 0.000 2.689
3.212 4.158 2.689
0.205 2.079 2.600
3.008 6.237 5.289
3.417 2.079 0.088
6.220 6.237 2.777
0.593 2.079 4.293
1.132 0.732 1.979
1.132 3.427 1.979
2.080 4.890 4.667
2.080 7.585 4.667
2.619 6.237 1.604
3.805 2.079 3.774
4.345 0.732 0.710
4.345 3.427 0.710
5.292 4.890 3.399
5.292 7.585 3.399
5.831 6.237 1.085
```


3.
Structure and computed powder diffractogram of PrB6 (the GGA-PBE geometry in the Materials Project; a wavelength of 1.5418 Å).
No peak broadening, texture or thermal motion is included.

Principal peaks in the range 10 to 90 degrees two-theta, low angle first:
| Position (°2θ) | I_rel |
| --- | --- |
| 21.44 | 64.4 |
| 30.50 | 100.0 |
| 37.58 | 42.2 |
| 43.67 | 21.5 |
| 49.15 | 49.5 |
| 54.20 | 27.1 |
| 67.83 | 27.9 |
| 72.05 | 19.9 |
| 76.17 | 12.7 |
| 88.19 | 17.6 |

Structure:
```
PrB6
1.0
4.145 0.000 0.000
0.000 4.145 0.000
0.000 0.000 4.145
Pr B
1 6
Cartesian
0.000 0.000 0.000
0.829 2.073 2.073
2.073 0.829 2.073
2.073 2.073 0.829
2.073 2.073 3.316
2.073 3.316 2.073
3.316 2.073 2.073
```


4.
Structure and computed powder diffractogram of CsBrF6 (the GGA-PBE geometry in the Materials Project; a wavelength of 1.5418 Å).
No peak broadening, texture or thermal motion is included.

Principal peaks in the range 10 to 90 degrees two-theta, low angle first:
| Position (°2θ) | I_rel |
| --- | --- |
| 22.07 | 100.0 |
| 25.18 | 71.1 |
| 33.73 | 21.8 |
| 35.76 | 17.2 |
| 38.72 | 14.3 |
| 40.67 | 58.9 |
| 52.27 | 13.4 |
| 56.87 | 22.0 |
| 60.84 | 15.6 |
| 62.26 | 11.1 |

Structure:
```
CsBrF6
1.0
4.028 2.326 2.735
-4.028 2.326 2.735
0.000 -4.652 2.735
Cs Br F
1 1 6
Cartesian
0.000 0.000 0.000
0.000 0.000 4.102
-0.415 -1.485 2.986
-1.078 1.102 2.986
-1.493 -0.383 5.218
1.493 0.383 2.986
1.078 -1.102 5.218
0.415 1.485 5.218
```


5.
Structure and computed powder diffractogram of CoSbS (the GGA-PBE geometry in the Materials Project; a wavelength of 1.5418 Å).
No peak broadening, texture or thermal motion is included.

Principal peaks in the range 10 to 90 degrees two-theta, low angle first:
| Position (°2θ) | I_rel |
| --- | --- |
| 21.51 | 23.3 |
| 30.60 | 13.0 |
| 34.31 | 100.0 |
| 37.71 | 55.6 |
| 51.89 | 45.5 |
| 54.39 | 11.0 |
| 56.80 | 16.8 |
| 59.16 | 29.3 |
| 74.39 | 17.9 |
| 86.55 | 11.8 |

Structure:
```
CoSbS
1.0
5.844 0.000 0.000
0.000 5.844 0.000
0.000 0.000 5.844
Co Sb S
4 4 4
Cartesian
0.114 0.114 0.114
2.808 5.730 3.036
3.036 2.808 5.730
5.730 3.036 2.808
0.747 3.669 5.097
2.175 2.175 2.175
3.669 5.097 0.747
5.097 0.747 3.669
0.716 5.128 2.206
2.206 0.716 5.128
3.638 3.638 3.638
5.128 2.206 0.716
```


6.
Structure and computed powder diffractogram of Mg14ZrCd (the GGA-PBE geometry in the Materials Project; a wavelength of 1.5418 Å).
No peak broadening, texture or thermal motion is included.

Principal peaks in the range 10 to 90 degrees two-theta, low angle first:
| Position (°2θ) | I_rel |
| --- | --- |
| 15.97 | 40.9 |
| 23.74 | 30.0 |
| 32.26 | 29.0 |
| 35.31 | 24.6 |
| 36.91 | 100.0 |
| 48.58 | 17.7 |
| 57.53 | 17.0 |
| 64.43 | 18.2 |
| 69.34 | 18.7 |
| 70.33 | 13.8 |

Structure:
```
Mg14ZrCd
1.0
6.408 0.000 0.000
-3.204 5.550 0.000
0.000 0.000 10.166
Mg Zr Cd
14 1 1
Cartesian
0.000 0.000 2.517
0.000 0.000 7.649
-1.574 2.791 2.542
-1.574 2.791 7.624
1.595 0.921 5.083
1.628 0.940 0.000
1.574 2.791 2.542
1.574 2.791 7.624
0.000 5.518 2.542
0.000 5.518 7.624
4.781 0.940 0.000
3.204 3.670 0.000
4.813 0.921 5.083
3.204 3.708 5.083
0.000 3.700 0.000
0.000 3.700 5.083
```